Entry 1:
Simulated powder XRD pattern of Li6Co11O2F24 for CuKα, from a GGA+U-relaxed structure.

Most intense lines, 10° ≤ 2θ ≤ 80°, by angle:
- d 6.604, 2θ = 13.41°, I = 593
- d 5.568, 2θ = 15.92°, I = 206
- d 4.837, 2θ = 18.34°, I = 1000
- d 4.719, 2θ = 18.81°, I = 503
- d 3.972, 2θ = 22.38°, I = 493
- d 2.885, 2θ = 30.99°, I = 199
- d 2.732, 2θ = 32.78°, I = 255
- d 2.557, 2θ = 35.09°, I = 233
- d 2.256, 2θ = 39.97°, I = 519
- d 2.187, 2θ = 41.29°, I = 659
- d 2.061, 2θ = 43.92°, I = 669
- d 1.527, 2θ = 60.66°, I = 261

Crystal structure
```
data_Li6Co11O2F24
_chemical_formula_sum 'Li6 Co11 O2 F24'
_symmetry_space_group_name_H-M 'P 1'
_symmetry_Int_Tables_number 1
_cell_length_a 8.103
_cell_length_b 8.210
_cell_length_c 8.755
_cell_angle_alpha 107.99
_cell_angle_beta 106.17
_cell_angle_gamma 90.09
loop_
_symmetry_equiv_pos_as_xyz
'x,y,z'
loop_
_atom_site_label
_atom_site_fract_x
_atom_site_fract_y
_atom_site_fract_z
_atom_site_occupancy
Li1 0.000 0.000 0.000 1
Li2 0.122 0.477 0.349 1
Li3 0.354 0.910 0.810 1
Li4 0.505 0.311 0.712 1
Li5 0.723 0.677 0.190 1
Li6 0.850 0.193 0.497 1
Co1 0.129 0.519 0.765 1
Co2 0.162 0.969 0.413 1
Co3 0.292 0.331 0.010 1
Co4 0.308 0.720 0.113 1
Co5 0.434 0.106 0.252 1
Co6 0.555 0.891 0.496 1
Co7 0.568 0.452 0.404 1
Co8 0.700 0.729 0.815 1
Co9 0.702 0.216 0.108 1
Co10 0.911 0.396 0.945 1
Co11 0.951 0.810 0.578 1
O1 0.142 0.527 0.002 1
O2 0.657 0.234 0.322 1
F1 0.047 0.175 0.425 1
F2 0.061 0.186 0.940 1
F3 0.090 0.593 0.561 1
F4 0.177 0.953 0.644 1
F5 0.200 0.960 0.170 1
F6 0.308 0.755 0.367 1
F7 0.311 0.347 0.786 1
F8 0.313 0.354 0.277 1
F9 0.339 0.723 0.893 1
F10 0.416 0.108 0.011 1
F11 0.422 0.106 0.490 1
F12 0.533 0.866 0.709 1
F13 0.535 0.480 0.149 1
F14 0.542 0.859 0.245 1
F15 0.561 0.503 0.642 1
F16 0.677 0.255 0.881 1
F17 0.700 0.679 0.477 1
F18 0.770 0.613 0.983 1
F19 0.777 0.975 0.020 1
F20 0.792 0.007 0.575 1
F21 0.897 0.386 0.698 1
F22 0.911 0.393 0.183 1
F23 0.940 0.789 0.802 1
F24 0.945 0.793 0.341 1
```

Entry 2:
Simulated powder XRD pattern of La2NiAs2O for CuKα, from a GGA+U-relaxed structure.

Most intense lines, 10° ≤ 2θ ≤ 80°, by angle:
- d 5.014, 2θ = 17.69°, I = 95
- d 3.761, 2θ = 23.66°, I = 204
- d 3.323, 2θ = 26.83°, I = 1000
- d 2.507, 2θ = 35.82°, I = 125
- d 2.490, 2θ = 36.07°, I = 275
- d 2.350, 2θ = 38.31°, I = 383
- d 2.001, 2θ = 45.31°, I = 254
- d 1.993, 2θ = 45.52°, I = 145
- d 1.714, 2θ = 53.44°, I = 154
- d 1.662, 2θ = 55.29°, I = 129
- d 1.486, 2θ = 62.50°, I = 176
- d 1.278, 2θ = 74.17°, I = 112

Crystal structure
```
data_La2NiAs2O
_chemical_formula_sum 'La2 Ni1 As2 O1'
_symmetry_space_group_name_H-M 'P 4/m m m'
_symmetry_Int_Tables_number 123
_symmetry_space_group_name_Hall '-P 4 2'
_cell_length_a 3.323
_cell_length_b 3.323
_cell_length_c 15.043
_cell_angle_alpha 90.00
_cell_angle_beta 90.00
_cell_angle_gamma 90.00
loop_
_atom_site_label
_atom_site_fract_x
_atom_site_fract_y
_atom_site_fract_z
_atom_site_occupancy
La1 0.000 0.000 0.141 1
Ni1 0.000 0.000 0.500 1
As1 0.000 0.000 0.344 1
O1 0.000 0.000 0.000 1
```

Entry 3:
Simulated powder XRD pattern of Li4Mn2P3O12 for CuKα, from a GGA+U-relaxed structure.

Most intense lines, 10° ≤ 2θ ≤ 80°, by angle:
- d 6.362, 2θ = 13.92°, I = 486
- d 6.272, 2θ = 14.12°, I = 557
- d 6.110, 2θ = 14.50°, I = 346
- d 4.679, 2θ = 18.97°, I = 546
- d 4.587, 2θ = 19.35°, I = 1000
- d 3.799, 2θ = 23.42°, I = 395
- d 3.765, 2θ = 23.63°, I = 805
- d 3.745, 2θ = 23.76°, I = 386
- d 3.700, 2θ = 24.05°, I = 404
- d 3.181, 2θ = 28.05°, I = 398
- d 3.136, 2θ = 28.46°, I = 358
- d 2.913, 2θ = 30.69°, I = 768

Crystal structure
```
data_Li4Mn2P3O12
_chemical_formula_sum 'Li8 Mn4 P6 O24'
_symmetry_space_group_name_H-M 'P -1'
_symmetry_Int_Tables_number 2
_cell_length_a 8.377
_cell_length_b 8.519
_cell_length_c 9.239
_cell_angle_alpha 92.30
_cell_angle_beta 115.48
_cell_angle_gamma 119.11
loop_
_symmetry_equiv_pos_as_xyz
'x,y,z'
'-x,-y,-z'
loop_
_atom_site_label
_atom_site_fract_x
_atom_site_fract_y
_atom_site_fract_z
_atom_site_occupancy
Li1 0.069 0.338 0.146 1
Li2 0.195 0.268 0.864 1
Li3 0.331 0.795 0.591 1
Li4 0.368 0.058 0.098 1
Mn1 0.284 0.147 0.437 1
Mn2 0.311 0.650 0.966 1
P1 0.194 0.747 0.239 1
P2 0.215 0.952 0.752 1
P3 0.497 0.550 0.753 1
O1 0.001 0.148 0.256 1
O2 0.017 0.532 0.181 1
O3 0.112 0.871 0.251 1
O4 0.200 0.974 0.585 1
O5 0.251 0.788 0.095 1
O6 0.304 0.436 0.102 1
O7 0.320 0.839 0.808 1
O8 0.335 0.504 0.815 1
O9 0.359 0.151 0.898 1
O10 0.383 0.394 0.592 1
O11 0.388 0.798 0.407 1
O12 0.429 0.252 0.274 1
```

Entry 4:
Simulated powder XRD pattern of LiMn2O4 for CuKα, from a GGA+U-relaxed structure.

Most intense lines, 10° ≤ 2θ ≤ 80°, by angle:
- d 4.866, 2θ = 18.23°, I = 795
- d 4.819, 2θ = 18.41°, I = 170
- d 4.183, 2θ = 21.24°, I = 327
- d 2.969, 2θ = 30.10°, I = 342
- d 2.534, 2θ = 35.42°, I = 169
- d 2.517, 2θ = 35.67°, I = 1000
- d 2.092, 2θ = 43.25°, I = 470
- d 1.615, 2θ = 57.03°, I = 237
- d 1.610, 2θ = 57.23°, I = 135
- d 1.484, 2θ = 62.58°, I = 274
- d 1.474, 2θ = 63.08°, I = 294
- d 1.410, 2θ = 66.27°, I = 108

Crystal structure
```
data_LiMn2O4
_chemical_formula_sum 'Li6 Mn12 O24'
_symmetry_space_group_name_H-M 'R 3 m'
_symmetry_Int_Tables_number 160
_symmetry_space_group_name_Hall 'R 3 -2"'
_cell_length_a 5.8950
_cell_length_b 5.8950
_cell_length_c 14.5965
_cell_angle_alpha 90.00
_cell_angle_beta 90.00
_cell_angle_gamma 120.00
loop_
_atom_site_label
_atom_site_fract_x
_atom_site_fract_y
_atom_site_fract_z
_atom_site_occupancy
Li1 0.0000 0.0000 0.0000 1
Li2 0.0000 0.0000 0.3827 1
Mn1 0.0000 0.0000 0.7648 1
Mn2 0.0045 0.5023 0.8847 1
O1 0.0000 0.0000 0.1461 1
O2 0.0000 0.0000 0.6224 1
O3 0.0335 0.5168 0.1454 1
O4 0.1809 0.3617 0.9539 1
```

Entry 5:
Simulated powder XRD pattern of Cs2MoO8 for CuKα, from a GGA+U-relaxed structure.

Most intense lines, 10° ≤ 2θ ≤ 80°, by angle:
- d 4.342, 2θ = 20.46°, I = 136
- d 3.761, 2θ = 23.65°, I = 1000
- d 3.727, 2θ = 23.87°, I = 418
- d 3.689, 2θ = 24.12°, I = 348
- d 3.643, 2θ = 24.43°, I = 534
- d 3.533, 2θ = 25.21°, I = 386
- d 2.661, 2θ = 33.68°, I = 161
- d 2.604, 2θ = 34.45°, I = 225
- d 2.553, 2θ = 35.16°, I = 181
- d 2.203, 2θ = 40.97°, I = 124
- d 2.170, 2θ = 41.62°, I = 166
- d 2.099, 2θ = 43.09°, I = 194

Crystal structure
```
data_Cs2MoO8
_chemical_formula_sum 'Cs8 Mo4 O32'
_symmetry_space_group_name_H-M 'P 1 21/c 1'
_symmetry_Int_Tables_number 14
_cell_length_a 7.304
_cell_length_b 9.245
_cell_length_c 14.141
_cell_angle_alpha 90.00
_cell_angle_beta 116.97
_cell_angle_gamma 90.00
loop_
_symmetry_equiv_pos_as_xyz
'x,y,z'
'-x,-y,-z'
'-x,y+1/2,-z+1/2'
'x,-y+1/2,z+1/2'
loop_
_atom_site_label
_atom_site_fract_x
_atom_site_fract_y
_atom_site_fract_z
_atom_site_occupancy
Cs1 0.005 0.018 0.267 1
Cs2 0.336 0.184 0.087 1
Mo1 0.327 0.721 0.092 1
O1 0.092 0.707 0.615 1
O2 0.161 0.738 0.934 1
O3 0.224 0.518 0.082 1
O4 0.279 0.627 0.481 1
O5 0.291 0.637 0.688 1
O6 0.369 0.558 0.192 1
O7 0.371 0.232 0.834 1
O8 0.421 0.158 0.419 1
```

Entry 6:
Simulated powder XRD pattern of Mn13FeSi2O22 for CuKα, from a GGA+U-relaxed structure.

Most intense lines, 10° ≤ 2θ ≤ 80°, by angle:
- d 2.931, 2θ = 30.50°, I = 195
- d 2.836, 2θ = 31.54°, I = 1000
- d 2.813, 2θ = 31.81°, I = 565
- d 2.599, 2θ = 34.51°, I = 964
- d 2.309, 2θ = 39.00°, I = 84
- d 2.030, 2θ = 44.65°, I = 265
- d 1.785, 2θ = 51.17°, I = 202
- d 1.692, 2θ = 54.21°, I = 614
- d 1.580, 2θ = 58.42°, I = 430
- d 1.453, 2θ = 64.09°, I = 99
- d 1.450, 2θ = 64.23°, I = 360
- d 1.418, 2θ = 65.86°, I = 168

Crystal structure
```
data_Mn13FeSi2O22
_chemical_formula_sum 'Mn13 Fe1 Si2 O22'
_symmetry_space_group_name_H-M 'P -3 m 1'
_symmetry_Int_Tables_number 164
_symmetry_space_group_name_Hall '-P 3 2"'
_cell_length_a 6.7683
_cell_length_b 6.7683
_cell_length_c 11.2539
_cell_angle_alpha 90.00
_cell_angle_beta 90.00
_cell_angle_gamma 120.00
loop_
_atom_site_label
_atom_site_fract_x
_atom_site_fract_y
_atom_site_fract_z
_atom_site_occupancy
Mn1 0.0000 0.0000 0.0000 1
Mn2 0.0000 0.5000 0.0000 1
Mn3 0.0000 0.5000 0.5000 1
Mn4 0.1668 0.3336 0.7654 1
Fe1 0.0000 0.0000 0.5000 1
Si1 0.3333 0.6667 0.2622 1
O1 0.0000 0.0000 0.1978 1
O2 0.0673 0.5337 0.2121 1
O3 0.1589 0.3177 0.5926 1
O4 0.1935 0.3870 0.9438 1
O5 0.3333 0.6667 0.4075 1
```